The following is a simulated powder diffractogram of Nb2MoOs. It was derived from a GGA-PBE-relaxed structure, using Cu Ka.
Peak positions follow from Bragg's law for the DFT cell and can differ from measured ones.

Main lines, by angle (5 to 70 degrees two-theta):
| two_theta | I/Imax |
| --- | --- |
| 23.99 | 8.1 |
| 27.77 | 4.8 |
| 39.68 | 100.0 |
| 46.90 | 4.5 |
| 49.12 | 1.4 |
| 57.36 | 16.8 |
| 63.07 | 2.0 |
| 64.90 | 2.0 |

Crystal structure
Unit cell a=4.5432 b=4.5432 c=4.5432 alpha=60.00 beta=60.00 gamma=60.00
Fractional positions:
Nb 0.2500 0.2500 0.2500
Nb 0.7500 0.7500 0.7500
Mo 0.0000 0.0000 0.0000
Os 0.5000 0.5000 0.5000



The following is a simulated powder diffractogram of NbReMo. It was derived from a GGA-PBE-relaxed structure, using Cu Ka.
Peak positions follow from Bragg's law for the DFT cell and can differ from measured ones.

Main lines, by angle (5 to 70 degrees two-theta):
| two_theta | I/Imax |
| --- | --- |
| 13.06 | 16.7 |
| 26.29 | 2.4 |
| 35.00 | 5.7 |
| 39.76 | 20.2 |
| 39.88 | 100.0 |
| 42.02 | 2.1 |
| 48.29 | 1.1 |
| 48.39 | 3.5 |
| 57.58 | 13.4 |
| 57.74 | 6.7 |
| 59.44 | 1.9 |
| 69.15 | 1.6 |

Crystal structure
Unit cell a=7.1495 b=6.9659 c=2.7730 alpha=82.42 beta=74.97 gamma=22.61
Fractional positions:
Nb 0.0000 0.0000 0.0000
Re 0.3321 0.3321 0.6679
Mo 0.6714 0.6714 0.3286



The following is a simulated powder diffractogram of Nb3MoSe8. It was derived from a GGA-PBE-relaxed structure, using Cu Ka.
Peak positions follow from Bragg's law for the DFT cell and can differ from measured ones.

Main lines, by angle (5 to 70 degrees two-theta):
| two_theta | I/Imax |
| --- | --- |
| 13.16 | 100.0 |
| 30.26 | 66.2 |
| 31.30 | 20.8 |
| 34.83 | 46.1 |
| 35.09 | 24.5 |
| 37.23 | 33.7 |
| 37.58 | 69.0 |
| 43.51 | 44.7 |
| 43.90 | 20.6 |
| 47.31 | 18.3 |
| 53.13 | 57.1 |
| 54.56 | 17.5 |

Crystal structure
Unit cell a=5.9747 b=3.4465 c=13.6274 alpha=90.00 beta=99.08 gamma=90.00
Fractional positions:
Nb 0.0000 0.0000 0.0000
Nb 0.0048 0.5000 0.5001
Nb 0.4992 0.5000 0.9995
Mo 0.4935 0.0000 0.4998
Se 0.1193 0.5000 0.8729
Se 0.1248 0.0000 0.3743
Se 0.2114 0.5000 0.1269
Se 0.2157 0.0000 0.6261
Se 0.6171 0.5000 0.3777
Se 0.6203 0.0000 0.8733
Se 0.7038 0.5000 0.6221
Se 0.7107 0.0000 0.1266



The following is a simulated powder diffractogram of Nb5Si6Mo5. It was derived from a GGA-PBE-relaxed structure, using Cu Ka.
Peak positions follow from Bragg's law for the DFT cell and can differ from measured ones.

Main lines, by angle (5 to 70 degrees two-theta):
| two_theta | I/Imax |
| --- | --- |
| 26.88 | 40.2 |
| 35.58 | 37.3 |
| 37.46 | 100.0 |
| 40.16 | 50.6 |
| 40.96 | 39.4 |
| 41.07 | 36.7 |
| 41.80 | 72.1 |
| 41.94 | 72.5 |
| 44.35 | 79.0 |
| 65.14 | 28.8 |
| 68.13 | 28.3 |
| 68.28 | 29.2 |

Crystal structure
Unit cell a=7.3982 b=7.3982 c=9.8192 alpha=131.53 beta=131.53 gamma=39.88
Fractional positions:
Nb 0.0000 0.0000 0.0000
Nb 0.3262 0.8257 0.7984
Nb 0.4998 0.4998 0.4462
Nb 0.6527 0.6527 0.1519
Nb 0.8257 0.3262 0.7984
Si 0.2448 0.2448 0.1347
Si 0.3253 0.8292 0.3016
Si 0.4036 0.4036 0.7944
Si 0.7443 0.7443 0.7965
Si 0.8292 0.3253 0.3016
Si 0.9100 0.9100 0.4626
Mo 0.1524 0.1524 0.5982
Mo 0.2976 0.2976 0.4437
Mo 0.3549 0.3549 0.0019
Mo 0.7962 0.7962 0.5922
Mo 0.8561 0.8561 0.1500



The following is a simulated powder diffractogram of Nb3SiSnMo3. It was derived from a GGA-PBE-relaxed structure, using Cu Ka.
Peak positions follow from Bragg's law for the DFT cell and can differ from measured ones.

Main lines, by angle (5 to 70 degrees two-theta):
| two_theta | I/Imax |
| --- | --- |
| 17.29 | 8.5 |
| 30.18 | 5.5 |
| 34.99 | 26.2 |
| 39.28 | 100.0 |
| 43.20 | 42.9 |
| 43.25 | 14.4 |
| 62.65 | 2.3 |
| 62.80 | 6.9 |
| 65.58 | 11.0 |
| 65.70 | 11.0 |
| 68.40 | 14.7 |
| 68.51 | 14.6 |

Crystal structure
Unit cell a=5.1283 b=5.1283 c=5.1283 alpha=89.90 beta=89.90 gamma=89.90
Fractional positions:
Nb 0.0043 0.7468 0.2489
Nb 0.2489 0.0043 0.7468
Nb 0.7468 0.2489 0.0043
Si 0.2481 0.2481 0.2481
Sn 0.7470 0.7470 0.7470
Mo 0.2485 0.4929 0.7474
Mo 0.4929 0.7474 0.2485
Mo 0.7474 0.2485 0.4929



The following is a simulated powder diffractogram of NdMo6Se8. It was derived from a GGA-PBE-relaxed structure, using Cu Ka.
Peak positions follow from Bragg's law for the DFT cell and can differ from measured ones.

Main lines, by angle (5 to 70 degrees two-theta):
| two_theta | I/Imax |
| --- | --- |
| 12.99 | 55.4 |
| 18.25 | 29.3 |
| 18.57 | 27.4 |
| 29.10 | 36.8 |
| 29.52 | 33.9 |
| 32.27 | 44.1 |
| 32.46 | 44.7 |
| 39.03 | 37.3 |
| 40.00 | 71.9 |
| 41.69 | 51.2 |
| 44.15 | 100.0 |
| 57.43 | 37.1 |

Crystal structure
Unit cell a=6.8167 b=6.8167 c=6.8167 alpha=88.98 beta=88.98 gamma=88.98
Fractional positions:
Nd 0.0000 0.0000 0.0000
Mo 0.2355 0.4231 0.5600
Mo 0.4231 0.5600 0.2355
Mo 0.4400 0.7645 0.5769
Mo 0.5600 0.2355 0.4231
Mo 0.5769 0.4400 0.7645
Mo 0.7645 0.5769 0.4400
Se 0.1230 0.7548 0.3745
Se 0.2401 0.2401 0.2401
Se 0.2452 0.6255 0.8770
Se 0.3745 0.1230 0.7548
Se 0.6255 0.8770 0.2452
Se 0.7548 0.3745 0.1230
Se 0.7599 0.7599 0.7599
Se 0.8770 0.2452 0.6255